The following is a simulated powder XRD pattern of MgV8O8F8. It was derived from a DFT-relaxed cell (PBE+U, Alexandria), using Cu Kα, 1.54184 Å.
Lines closer than 0.1° are merged.

```
data_MgV8O8F8
_cell_length_a 5.082
_cell_length_b 5.658
_cell_length_c 10.809
_cell_angle_alpha 79.74
_cell_angle_beta 88.16
_cell_angle_gamma 85.26
_space_group_name_H-M_alt 'P 1'
_space_group_IT_number 1
_space_group_name_Hall 'P 1'
loop_
_atom_site_label
_atom_site_type_symbol
_atom_site_fract_x
_atom_site_fract_y
_atom_site_fract_z
Mg1 Mg 0.000 0.000 0.000
V1 V 0.215 0.863 0.707
V2 V 0.232 0.627 0.451
V3 V 0.265 0.424 0.931
V4 V 0.274 0.412 0.204
V5 V 0.706 0.355 0.687
V6 V 0.706 0.646 0.925
V7 V 0.713 0.859 0.241
V8 V 0.746 0.122 0.470
O1 O 0.057 0.767 0.882
O2 O 0.111 0.226 0.096
O3 O 0.413 0.650 0.293
O4 O 0.505 0.602 0.779
O5 O 0.526 0.387 0.532
O6 O 0.528 0.455 0.056
O7 O 0.922 0.860 0.398
O8 O 0.932 0.088 0.638
F1 F 0.008 0.696 0.137
F2 F 0.023 0.360 0.381
F3 F 0.033 0.588 0.633
F4 F 0.426 0.890 0.536
F5 F 0.428 0.112 0.771
F6 F 0.521 0.157 0.304
F7 F 0.620 0.938 0.019
F8 F 0.911 0.303 0.862
```

Most intense lines, 10° ≤ 2θ ≤ 90°, most intense first:
d [Å]  intensity  index
3.312  100  1 -1 1
3.506  80  1 1 -1
2.662  68  -1 1 3
2.276  33  -1 2 2
1.817  28  2 0 -4
2.822  27  1 1 3
1.754  24  2 2 -2
3.896  21  1 1 0